# 1
This entry pairs a crystal structure of ErTm2Bi2 with its simulated powder diffraction line list. Radiation: Cu Kα. Structure: a structure optimized by DFT (PBE).
Kinematic intensities with the Lorentz-polarization factor, no thermal factor.

The 10 most intense peaks (10° ≤ 2θ ≤ 90°), most intense first:
d 2.901, intensity 100; d 2.705, intensity 71; d 2.657, intensity 65; d 2.451, intensity 47; d 2.490, intensity 29; d 3.298, intensity 22; d 1.512, intensity 20; d 2.178, intensity 19; d 1.417, intensity 16; d 1.802, intensity 16

a = 9.328 Å, b = 9.328 Å, c = 6.596 Å
α = 90.00°, β = 90.00°, γ = 149.54°
Sites, in units of the cell vectors:
Er (0.116, 0.884, 0.500)
Er (0.884, 0.116, 0.000)
Tm (0.319, 0.681, 0.369)
Tm (0.486, 0.514, 0.737)
Tm (0.514, 0.486, 0.237)
Tm (0.681, 0.319, 0.869)
Bi (0.068, 0.932, 0.974)
Bi (0.292, 0.708, 0.851)
Bi (0.708, 0.292, 0.351)
Bi (0.932, 0.068, 0.474)


# 2
This entry pairs a crystal structure of MgSc6Se8 with its simulated powder diffraction line list. Radiation: Cu Kα. Structure: a structure optimized by DFT (PBE).
Kinematic intensities with the Lorentz-polarization factor, no thermal factor.

The 10 most intense peaks (10° ≤ 2θ ≤ 90°), most intense first:
d 2.729, intensity 100; d 1.930, intensity 70; d 1.221, intensity 30; d 3.151, intensity 26; d 1.576, intensity 24; d 1.114, intensity 23; d 1.646, intensity 12; d 1.365, intensity 11; d 1.252, intensity 5; d 5.458, intensity 3

a = 7.719 Å, b = 7.719 Å, c = 7.719 Å
α = 60.00°, β = 60.00°, γ = 60.00°
Sites, in units of the cell vectors:
Mg (0.000, 0.000, 0.000)
Sc (0.000, 0.000, 0.500)
Sc (0.000, 0.500, 0.000)
Sc (0.000, 0.500, 0.500)
Sc (0.500, 0.000, 0.000)
Sc (0.500, 0.000, 0.500)
Sc (0.500, 0.500, 0.000)
Se (0.250, 0.250, 0.250)
Se (0.250, 0.250, 0.750)
Se (0.250, 0.750, 0.250)
Se (0.250, 0.750, 0.750)
Se (0.750, 0.250, 0.250)
Se (0.750, 0.250, 0.750)
Se (0.750, 0.750, 0.250)
Se (0.750, 0.750, 0.750)


# 3
This entry pairs a crystal structure of KVCuCl6 with its simulated powder diffraction line list. Radiation: Cu Kα. Structure: a structure optimized by DFT (PBE).
Kinematic intensities with the Lorentz-polarization factor, no thermal factor.

The 10 most intense peaks (10° ≤ 2θ ≤ 90°), most intense first:
d 2.344, intensity 100; d 6.959, intensity 97; d 4.312, intensity 96; d 2.886, intensity 79; d 1.831, intensity 36; d 1.990, intensity 25; d 1.872, intensity 24; d 1.772, intensity 21; d 1.525, intensity 17; d 1.443, intensity 15

a = 6.346 Å, b = 6.346 Å, c = 6.959 Å
α = 90.04°, β = 90.04°, γ = 120.08°
Sites, in units of the cell vectors:
K (0.000, 0.000, 0.000)
V (0.333, 0.667, 0.500)
Cu (0.666, 0.334, 0.500)
Cl (0.014, 0.377, 0.306)
Cl (0.014, 0.638, 0.693)
Cl (0.362, 0.377, 0.693)
Cl (0.362, 0.986, 0.307)
Cl (0.623, 0.638, 0.307)
Cl (0.623, 0.986, 0.694)


# 4
This entry pairs a crystal structure of LiTlFe2Br8 with its simulated powder diffraction line list. Radiation: Cu Kα. Structure: a structure optimized by DFT (PBE).
Kinematic intensities with the Lorentz-polarization factor, no thermal factor.

The 10 most intense peaks (10° ≤ 2θ ≤ 90°), most intense first:
d 3.009, intensity 100; d 5.218, intensity 100; d 3.194, intensity 70; d 2.018, intensity 67; d 3.067, intensity 50; d 3.395, intensity 45; d 2.835, intensity 43; d 2.112, intensity 41; d 2.408, intensity 38; d 3.762, intensity 37

a = 6.873 Å, b = 6.873 Å, c = 9.620 Å
α = 93.44°, β = 93.44°, γ = 68.40°
Sites, in units of the cell vectors:
Li (0.000, 0.000, 0.000)
Tl (0.000, 0.000, 0.500)
Fe (0.377, 0.377, 0.220)
Fe (0.623, 0.623, 0.780)
Br (0.243, 0.243, 0.024)
Br (0.251, 0.747, 0.787)
Br (0.253, 0.749, 0.213)
Br (0.292, 0.292, 0.435)
Br (0.708, 0.708, 0.565)
Br (0.747, 0.251, 0.787)
Br (0.749, 0.253, 0.213)
Br (0.757, 0.757, 0.976)


# 5
This entry pairs a crystal structure of Ba4CaZr5O15 with its simulated powder diffraction line list. Radiation: Cu Kα. Structure: a structure optimized by DFT (PBE).
Kinematic intensities with the Lorentz-polarization factor, no thermal factor.

The 10 most intense peaks (10° ≤ 2θ ≤ 90°), most intense first:
d 2.990, intensity 100; d 2.974, intensity 53; d 1.720, intensity 42; d 2.103, intensity 31; d 1.730, intensity 21; d 1.495, intensity 19; d 1.331, intensity 18; d 2.126, intensity 17; d 1.128, intensity 12; d 1.132, intensity 11

a = 21.672 Å, b = 21.672 Å, c = 21.672 Å
α = 164.22°, β = 164.22°, γ = 22.38°
Sites, in units of the cell vectors:
Ba (0.000, 0.000, 0.000)
Ba (0.100, 0.100, 0.000)
Ba (0.201, 0.201, 0.000)
Ba (0.399, 0.399, 0.000)
Ba (0.500, 0.500, 0.000)
Ba (0.601, 0.601, 0.000)
Ba (0.799, 0.799, 0.000)
Ba (0.900, 0.900, 0.000)
Ca (0.300, 0.300, 0.000)
Ca (0.700, 0.700, 0.000)
Zr (0.050, 0.550, 0.500)
Zr (0.151, 0.651, 0.500)
Zr (0.250, 0.750, 0.500)
Zr (0.349, 0.849, 0.500)
Zr (0.450, 0.950, 0.500)
Zr (0.550, 0.050, 0.500)
Zr (0.651, 0.151, 0.500)
Zr (0.750, 0.250, 0.500)
Zr (0.849, 0.349, 0.500)
Zr (0.950, 0.450, 0.500)
O (0.000, 0.500, 0.500)
O (0.060, 0.449, 0.000)
O (0.060, 0.640, 0.000)
O (0.101, 0.601, 0.500)
O (0.142, 0.142, 0.593)
O (0.176, 0.176, 0.453)
O (0.201, 0.701, 0.500)
O (0.223, 0.677, 0.000)
O (0.277, 0.824, 0.000)
O (0.299, 0.799, 0.500)
O (0.323, 0.323, 0.546)
O (0.360, 0.360, 0.420)
O (0.399, 0.899, 0.500)
O (0.449, 0.060, 0.000)
O (0.451, 0.858, 0.000)
O (0.500, 0.000, 0.500)
O (0.549, 0.549, 0.407)
O (0.551, 0.551, 0.610)
O (0.601, 0.101, 0.500)
O (0.640, 0.060, 0.000)
O (0.677, 0.223, 0.000)
O (0.701, 0.201, 0.500)
O (0.723, 0.723, 0.547)
O (0.777, 0.777, 0.454)
O (0.799, 0.299, 0.500)
O (0.824, 0.277, 0.000)
O (0.858, 0.451, 0.000)
O (0.899, 0.399, 0.500)
O (0.940, 0.940, 0.390)
O (0.940, 0.940, 0.580)


# 6
This entry pairs a crystal structure of YInOs with its simulated powder diffraction line list. Radiation: Cu Kα. Structure: a structure optimized by DFT (PBE).
Kinematic intensities with the Lorentz-polarization factor, no thermal factor.

The 10 most intense peaks (10° ≤ 2θ ≤ 90°), most intense first:
d 2.423, intensity 100; d 4.478, intensity 71; d 3.007, intensity 70; d 2.093, intensity 62; d 2.796, intensity 62; d 5.091, intensity 59; d 2.165, intensity 57; d 2.570, intensity 56; d 6.270, intensity 52; d 2.108, intensity 35

a = 12.872 Å, b = 4.329 Å, c = 5.226 Å
α = 90.00°, β = 103.05°, γ = 90.00°
Sites, in units of the cell vectors:
Y (0.126, 0.000, 0.330)
Y (0.374, 0.500, 0.670)
Y (0.626, 0.500, 0.330)
Y (0.874, 0.000, 0.670)
In (0.070, 0.500, 0.787)
In (0.430, 0.000, 0.213)
In (0.570, 0.000, 0.787)
In (0.930, 0.500, 0.213)
Os (0.220, 0.000, 0.901)
Os (0.280, 0.500, 0.099)
Os (0.720, 0.500, 0.901)
Os (0.780, 0.000, 0.099)


# 7
This entry pairs a crystal structure of RbLaS14 with its simulated powder diffraction line list. Radiation: Cu Kα. Structure: a structure optimized by DFT (PBE).
Kinematic intensities with the Lorentz-polarization factor, no thermal factor.

The 10 most intense peaks (10° ≤ 2θ ≤ 90°), most intense first:
d 7.384, intensity 100; d 3.415, intensity 74; d 6.717, intensity 62; d 3.313, intensity 59; d 2.507, intensity 56; d 3.548, intensity 41; d 2.616, intensity 36; d 1.781, intensity 31; d 4.285, intensity 31; d 2.344, intensity 26

a = 11.194 Å, b = 11.194 Å, c = 11.194 Å
α = 126.17°, β = 97.46°, γ = 106.25°
Sites, in units of the cell vectors:
Rb (0.329, 0.079, 0.250)
Rb (0.671, 0.921, 0.750)
La (0.000, 0.000, 0.500)
La (0.000, 0.500, 0.000)
S (0.011, 0.282, 0.077)
S (0.011, 0.934, 0.729)
S (0.022, 0.164, 0.858)
S (0.054, 0.684, 0.370)
S (0.186, 0.316, 0.870)
S (0.193, 0.836, 0.358)
S (0.294, 0.066, 0.577)
S (0.294, 0.718, 0.229)
S (0.298, 0.616, 0.682)
S (0.315, 0.449, 0.405)
S (0.315, 0.910, 0.866)
S (0.433, 0.616, 0.818)
S (0.456, 0.090, 0.905)
S (0.456, 0.551, 0.366)
S (0.544, 0.449, 0.634)
S (0.544, 0.910, 0.095)
S (0.567, 0.384, 0.182)
S (0.685, 0.090, 0.134)
S (0.685, 0.551, 0.595)
S (0.702, 0.384, 0.318)
S (0.706, 0.282, 0.771)
S (0.706, 0.934, 0.423)
S (0.807, 0.164, 0.642)
S (0.814, 0.684, 0.130)
S (0.946, 0.316, 0.630)
S (0.978, 0.836, 0.142)
S (0.989, 0.066, 0.271)
S (0.989, 0.718, 0.923)


# 8
This entry pairs a crystal structure of CeU3Se4 with its simulated powder diffraction line list. Radiation: Cu Kα. Structure: a structure optimized by DFT (PBE).
Kinematic intensities with the Lorentz-polarization factor, no thermal factor.

The 10 most intense peaks (10° ≤ 2θ ≤ 90°), most intense first:
d 2.894, intensity 100; d 2.047, intensity 50; d 3.382, intensity 19; d 3.303, intensity 18; d 1.295, intensity 18; d 1.691, intensity 14; d 2.083, intensity 13; d 1.447, intensity 13; d 2.010, intensity 12; d 1.196, intensity 9

a = 11.587 Å, b = 8.332 Å, c = 4.021 Å
α = 90.00°, β = 90.10°, γ = 90.00°
Sites, in units of the cell vectors:
Ce (0.000, 0.000, 0.000)
Ce (0.500, 0.500, 0.000)
U (0.000, 0.500, 0.000)
U (0.250, 0.250, 0.500)
U (0.250, 0.750, 0.500)
U (0.500, 0.000, 0.000)
U (0.750, 0.250, 0.500)
U (0.750, 0.750, 0.500)
Se (0.000, 0.255, 0.500)
Se (0.000, 0.745, 0.500)
Se (0.247, 0.500, 0.000)
Se (0.253, 0.000, 0.000)
Se (0.500, 0.245, 0.500)
Se (0.500, 0.755, 0.500)
Se (0.747, 0.000, 0.000)
Se (0.753, 0.500, 0.000)